No. 1
Calculated powder diffraction line list
Compound: MgZr3V
Radiation: λ = 1.5418 Å (Cu Kα)
Structure: a cell relaxed with GGA-PBE
No peak broadening, texture or thermal motion is included.

The 10 most intense peaks (2θ = 15–90°), by angle:
2θ (°)  I_rel
17.97  65.9
31.38  100.0
36.40  97.0
40.87  30.2
52.42  65.4
55.87  14.4
62.38  40.3
65.49  21.6
85.79  16.4
88.58  28.2

```
5
Lattice="4.9371 0.0000 0.0000 0.0000 4.9371 0.0000 0.0000 0.0000 4.9371" Properties=species:S:1:pos:R:3 pbc="T T T"
Mg 0.0000 0.0000 0.0000
Zr 0.0000 2.4686 2.4686
Zr 2.4686 0.0000 2.4686
Zr 2.4686 2.4686 0.0000
V 2.4686 2.4686 2.4686
```

***

No. 2
Calculated powder diffraction line list
Compound: Mg3W
Radiation: λ = 1.5418 Å (Cu Kα)
Structure: a cell relaxed with GGA-PBE
No peak broadening, texture or thermal motion is included.

The 10 most intense peaks (2θ = 15–90°), by angle:
2θ (°)  I_rel
18.36  54.0
32.36  26.9
33.70  44.8
37.21  24.7
37.46  100.0
40.01  21.0
43.10  30.8
50.13  17.3
55.79  21.3
67.25  16.4

```
8
Lattice="3.5037 0.0000 0.0000 0.0000 4.5071 0.0000 0.0000 0.0000 9.6659" Properties=species:S:1:pos:R:3 pbc="T T T"
Mg 0.0000 0.0000 0.0000
Mg 0.0000 2.2536 2.5951
Mg 0.0000 2.2536 7.0708
Mg 1.7518 0.0000 2.5951
Mg 1.7518 0.0000 7.0708
Mg 1.7518 2.2536 0.0000
W 0.0000 0.0000 4.8329
W 1.7518 2.2536 4.8329
```

***

No. 3
Calculated powder diffraction line list
Compound: Mg7W
Radiation: λ = 1.5418 Å (Cu Kα)
Structure: a cell relaxed with GGA-PBE
No peak broadening, texture or thermal motion is included.

The 10 most intense peaks (2θ = 15–90°), by angle:
2θ (°)  I_rel
16.53  97.8
17.99  24.9
24.52  67.4
28.83  24.7
33.41  35.4
34.19  31.1
36.44  24.0
38.20  100.0
48.55  27.6
50.27  22.4

```
8
Lattice="6.1943 0.0000 0.0000 -3.0971 5.3644 0.0000 0.0000 0.0000 4.9307" Properties=species:S:1:pos:R:3 pbc="T T T"
Mg 0.0000 0.0000 0.0000
Mg -1.4543 2.7366 0.0000
Mg 1.5601 0.9007 2.4653
Mg 1.4543 2.7366 0.0000
Mg 0.0000 5.2556 0.0000
Mg 4.6341 0.9007 2.4653
Mg 3.0971 3.5629 2.4653
W 0.0000 3.5763 2.4653
```

***

No. 4
Calculated powder diffraction line list
Compound: YMgW2
Radiation: λ = 1.5418 Å (Cu Kα)
Structure: a cell relaxed with GGA-PBE
No peak broadening, texture or thermal motion is included.

The 10 most intense peaks (2θ = 15–90°), by angle:
2θ (°)  I_rel
34.02  10.6
36.20  21.2
37.16  28.0
37.57  100.0
38.29  11.5
42.92  29.7
52.85  14.4
55.50  10.7
67.26  18.1
68.69  11.2

```
8
Lattice="3.3123 0.0000 0.0000 0.0000 4.8389 0.0000 0.0000 0.0000 9.9262" Properties=species:S:1:pos:R:3 pbc="T T T"
Y 0.0000 0.0000 0.0000
Y 1.6561 2.4195 0.0000
Mg 0.0000 2.4195 6.9623
Mg 1.6561 0.0000 6.9623
W 0.0000 0.0000 4.5678
W 0.0000 2.4195 2.5546
W 1.6561 0.0000 2.5546
W 1.6561 2.4195 4.5678
```

***

No. 5
Calculated powder diffraction line list
Compound: MgZrW2
Radiation: λ = 1.5418 Å (Cu Kα)
Structure: a cell relaxed with GGA-PBE
No peak broadening, texture or thermal motion is included.

The 10 most intense peaks (2θ = 15–90°), by angle:
2θ (°)  I_rel
30.12  11.9
37.55  100.0
38.91  51.0
41.06  21.1
47.73  26.9
56.21  17.5
66.84  12.6
69.57  32.8
76.78  13.5
79.82  8.4

```
4
Lattice="3.2730 0.0000 0.0000 0.0000 3.2730 0.0000 0.0000 0.0000 7.0298" Properties=species:S:1:pos:R:3 pbc="T T T"
Mg 0.0000 0.0000 0.0000
Zr 1.6365 1.6365 4.8627
W 0.0000 0.0000 3.1392
W 1.6365 1.6365 1.7537
```

***

No. 6
Calculated powder diffraction line list
Compound: Y8Mg
Radiation: λ = 1.5418 Å (Cu Kα)
Structure: a cell relaxed with GGA-PBE
No peak broadening, texture or thermal motion is included.

The 10 most intense peaks (2θ = 15–90°), by angle:
2θ (°)  I_rel
31.12  54.0
32.15  100.0
44.59  19.0
47.57  8.2
56.02  37.5
57.95  17.5
67.24  10.7
73.71  7.6
74.27  7.5
78.70  7.0

```
9
Lattice="-6.0964 6.0964 1.9113 6.0964 -6.0964 1.9113 6.0964 6.0964 -1.9113" Properties=species:S:1:pos:R:3 pbc="T T T"
Y 4.1028 0.0000 0.0000
Y 8.0901 0.0000 0.0000
Y 0.0000 4.1028 0.0000
Y 4.1607 4.1607 0.0000
Y 1.9358 -1.9358 1.9113
Y -1.9358 1.9358 1.9113
Y 1.9358 1.9358 1.9113
Y 0.0000 8.0901 0.0000
Mg 0.0000 0.0000 0.0000
```

***

No. 7
Calculated powder diffraction line list
Compound: Y2Mg
Radiation: λ = 1.5418 Å (Cu Kα)
Structure: a cell relaxed with GGA-PBE
No peak broadening, texture or thermal motion is included.

The 10 most intense peaks (2θ = 15–90°), by angle:
2θ (°)  I_rel
18.90  30.6
29.06  20.4
32.00  100.0
33.05  66.5
33.90  15.6
46.67  24.2
55.92  14.7
58.37  17.0
63.51  19.0
88.80  8.6

```
9
Lattice="9.3885 0.0000 0.0000 -4.6942 8.1306 0.0000 0.0000 0.0000 3.4819" Properties=species:S:1:pos:R:3 pbc="T T T"
Y -1.7386 3.0113 0.0000
Y -3.2975 5.7115 1.7409
Y 1.3967 2.4192 1.7409
Y 3.4772 0.0000 0.0000
Y 2.9556 5.1193 0.0000
Y 6.5950 0.0000 1.7409
Mg 0.0000 0.0000 0.0000
Mg 0.0000 5.4204 1.7409
Mg 4.6942 2.7102 1.7409
```

***

No. 8
Calculated powder diffraction line list
Compound: Y2Mg13
Radiation: λ = 1.5418 Å (Cu Kα)
Structure: a cell relaxed with GGA-PBE
No peak broadening, texture or thermal motion is included.

The 10 most intense peaks (2θ = 15–90°), by angle:
2θ (°)  I_rel
20.97  50.7
25.53  27.1
29.02  35.0
31.79  24.4
33.27  23.9
34.00  49.8
36.08  100.0
38.07  30.3
38.71  21.8
62.21  20.1

```
15
Lattice="4.2358 2.4456 7.5342 -4.2358 2.4456 7.5342 0.0000 -4.8911 7.5342" Properties=species:S:1:pos:R:3 pbc="T T T"
Y 0.0000 0.0000 5.4157
Y 0.0000 0.0000 17.1870
Mg 0.0000 0.0000 0.0000
Mg 0.0000 -3.1604 5.0528
Mg -2.7370 1.5802 5.0528
Mg 0.0000 -1.8364 8.1705
Mg -1.5903 0.9182 8.1705
Mg -2.7370 -1.5802 17.5500
Mg -1.5903 -0.9182 14.4323
Mg 1.5903 0.9182 8.1705
Mg 2.7370 1.5802 5.0527
Mg 1.5903 -0.9182 14.4323
Mg 0.0000 1.8364 14.4323
Mg 2.7370 -1.5802 17.5500
Mg 0.0000 3.1604 17.5500
```

***

No. 9
Calculated powder diffraction line list
Compound: Y2Mg
Radiation: λ = 1.5418 Å (Cu Kα)
Structure: a cell relaxed with GGA-PBE
No peak broadening, texture or thermal motion is included.

The 10 most intense peaks (2θ = 15–90°), by angle:
2θ (°)  I_rel
15.78  13.4
29.27  30.0
31.87  24.3
33.42  100.0
43.81  19.0
51.90  17.9
57.78  19.3
62.21  20.1
63.15  15.0
86.06  12.4

```
6
Lattice="3.5234 0.0000 0.0000 -1.7617 3.0513 0.0000 0.0000 0.0000 16.8493" Properties=species:S:1:pos:R:3 pbc="T T T"
Y 0.0000 0.0000 0.0000
Y 0.0000 0.0000 5.5434
Y 0.0000 0.0000 11.3060
Y 0.0000 2.0342 8.4247
Mg 0.0000 2.0342 2.7621
Mg 0.0000 2.0342 14.0873
```

***

No. 10
Calculated powder diffraction line list
Compound: Y3Mg11
Radiation: λ = 1.5418 Å (Cu Kα)
Structure: a cell relaxed with GGA-PBE
No peak broadening, texture or thermal motion is included.

The 10 most intense peaks (2θ = 15–90°), by angle:
2θ (°)  I_rel
15.74  41.0
19.51  57.8
29.82  56.2
31.81  41.4
31.95  100.0
32.30  44.5
34.37  70.2
36.11  59.1
37.38  34.6
63.70  31.5

```
14
Lattice="-2.4878 5.6290 6.3697 2.4878 -5.6290 6.3697 2.4878 5.6290 -6.3697" Properties=species:S:1:pos:R:3 pbc="T T T"
Y 0.0000 0.0000 0.0000
Y 0.0000 0.0000 3.5927
Y 0.0000 0.0000 9.1467
Mg 2.4878 -1.4361 1.7006
Mg 2.4878 -2.5545 4.5208
Mg 2.4878 1.4361 1.7006
Mg 2.4878 3.8815 0.0000
Mg 0.0000 3.0745 1.8489
Mg 0.0000 5.6290 0.0000
Mg 2.4878 2.5545 4.5208
Mg 0.0000 1.7475 6.3697
Mg 0.0000 4.1929 4.6691
Mg 0.0000 8.1835 1.8489
Mg 0.0000 7.0651 4.6691
```

***

No. 11
Calculated powder diffraction line list
Compound: Y2Mg
Radiation: λ = 1.5418 Å (Cu Kα)
Structure: a cell relaxed with GGA-PBE
No peak broadening, texture or thermal motion is included.

The 10 most intense peaks (2θ = 15–90°), by angle:
2θ (°)  I_rel
21.87  19.5
22.34  11.4
28.60  100.0
31.46  68.9
34.42  55.6
35.69  29.1
50.43  36.5
51.11  23.6
59.85  11.7
61.47  29.6

```
9
Lattice="7.9596 0.0000 0.0000 -3.9798 6.8932 0.0000 0.0000 0.0000 5.0308" Properties=species:S:1:pos:R:3 pbc="T T T"
Y -0.9852 1.7064 0.0000
Y -2.3127 4.0056 2.5154
Y 1.9704 0.0000 0.0000
Y 1.6671 2.8876 2.5154
Y 4.6253 0.0000 2.5154
Y 2.9946 5.1868 0.0000
Mg 0.0000 0.0000 2.5154
Mg 0.0000 4.5955 0.0000
Mg 3.9798 2.2977 0.0000
```

***

No. 12
Calculated powder diffraction line list
Compound: YMg2Zn6
Radiation: λ = 1.5418 Å (Cu Kα)
Structure: a cell relaxed with GGA-PBE
No peak broadening, texture or thermal motion is included.

The 10 most intense peaks (2θ = 15–90°), by angle:
2θ (°)  I_rel
27.94  21.9
36.43  100.0
40.24  96.5
49.70  25.8
55.40  28.4
57.74  10.7
70.66  26.1
72.72  30.6
73.15  14.9
86.95  9.3

```
9
Lattice="7.7629 0.0000 0.0000 -3.8815 6.7229 0.0000 0.0000 0.0000 3.1935" Properties=species:S:1:pos:R:3 pbc="T T T"
Y 0.0000 0.0000 0.0000
Mg 0.0000 4.4819 0.0000
Mg 3.8815 2.2410 0.0000
Zn -1.3108 2.2703 1.5967
Zn -2.5707 4.4526 1.5967
Zn 2.6215 0.0000 1.5967
Zn 1.3108 2.2703 1.5967
Zn 5.1414 0.0000 1.5967
Zn 2.5707 4.4526 1.5967
```